No. 1
Computed powder X-ray diffraction pattern of KCeGeSe4 for Cu Kα X-rays, from a crystal structure in the Materials Project, relaxed with PBE.

Largest 8 diffraction maxima, sorted by position, 2θ = 10–80°:
- (0 0 1), 10.16°, rel. 100
- (0 1 1), 16.10°, rel. 34
- (2 0 -2), 28.48°, rel. 70
- (1 1 2), 30.54°, rel. 48
- (2 1 -2), 31.15°, rel. 40
- (1 2 -2), 32.72°, rel. 27
- (2 2 0), 37.14°, rel. 31
- (1 0 -4), 39.41°, rel. 32

Atomic structure:
Cell: 6.951 7.105 9.150 Å, 90.00 107.88 90.00°
Space group P2_1 (No. 4)
Inequivalent atoms, fractional coordinates:
K 0.243 0.000 0.437 [2 per cell]
Ce 0.268 0.013 0.946 [2 per cell]
Ge 0.282 0.479 0.181 [2 per cell]
Se 0.075 0.420 0.924 [2 per cell]
Se 0.079 0.476 0.345 [2 per cell]
Se 0.468 0.736 0.772 [2 per cell]
Se 0.490 0.754 0.214 [2 per cell]


No. 2
Computed powder X-ray diffraction pattern of WSCl4 for Cu Kα X-rays, from a crystal structure in the Materials Project, relaxed with PBE.

Largest 8 diffraction maxima, sorted by position, 2θ = 10–80°:
- (1 0 -2), 13.97°, rel. 31
- (1 1 1), 15.61°, rel. 100
- (1 2 -1), 16.31°, rel. 71
- (2 1 -1), 19.60°, rel. 15
- (2 1 0), 20.96°, rel. 19
- (0 3 2), 24.22°, rel. 24
- (1 2 3), 29.86°, rel. 20
- (2 4 2), 39.10°, rel. 14

Atomic structure:
Cell: 9.606 13.638 13.452 Å, 90.00 111.79 90.00°
Space group P2_1/c (No. 14)
Inequivalent atoms, fractional coordinates:
W 0.044 0.140 0.416 [4 per cell]
W 0.371 0.587 0.662 [4 per cell]
S 0.011 0.214 0.272 [4 per cell]
S 0.494 0.039 0.232 [4 per cell]
Cl 0.080 0.008 0.645 [4 per cell]
Cl 0.130 0.548 0.646 [4 per cell]
Cl 0.163 0.684 0.046 [4 per cell]
Cl 0.177 0.249 0.044 [4 per cell]
Cl 0.264 0.056 0.450 [4 per cell]
Cl 0.293 0.558 0.481 [4 per cell]
Cl 0.384 0.682 0.807 [4 per cell]
Cl 0.453 0.191 0.858 [4 per cell]


No. 3
Computed powder X-ray diffraction pattern of TmZn12 for Cu Kα X-rays, from a crystal structure in the Materials Project, relaxed with PBE.

Largest 8 diffraction maxima, sorted by position, 2θ = 10–80°:
- (2 1 1), 28.17°, rel. 25
- (3 0 1), 34.98°, rel. 50
- (2 0 2), 39.21°, rel. 80
- (3 2 1), 40.78°, rel. 100
- (4 0 0), 41.30°, rel. 55
- (2 2 2), 44.55°, rel. 36
- (3 2 3), 64.45°, rel. 25
- (6 0 2), 73.89°, rel. 23

Atomic structure:
Cell: 8.744 8.744 5.402 Å, 90.00 90.00 90.00°
Space group I4/mmm (No. 139)
Inequivalent atoms, fractional coordinates:
Tm 0.000 0.000 0.000 [2 per cell]
Zn 0.000 0.218 0.500 [8 per cell]
Zn 0.000 0.352 0.000 [8 per cell]
Zn 0.250 0.250 0.250 [8 per cell]


No. 4
Computed powder X-ray diffraction pattern of Zn3InAgS5 for Cu Kα X-rays, from a crystal structure in the Materials Project, relaxed with PBE.

Largest 8 diffraction maxima, sorted by position, 2θ = 10–80°:
- (0 1 3), 25.94°, rel. 72
- (2 0 0), 27.43°, rel. 51
- (1 -1 2), 29.40°, rel. 100
- (2 1 3), 38.11°, rel. 30
- (0 0 5), 45.71°, rel. 19
- (0 3 4), 45.76°, rel. 38
- (3 1 3), 49.73°, rel. 58
- (2 3 4), 54.17°, rel. 41

Atomic structure:
Cell: 6.504 6.866 10.501 Å, 70.92 89.95 89.96°
Space group P1 (No. 1)
Inequivalent atoms, fractional coordinates:
Zn 0.000 0.000 0.000 [1 per cell]
Zn 0.002 0.397 0.210 [1 per cell]
Zn 0.004 0.193 0.612 [1 per cell]
Zn 0.496 0.454 0.414 [1 per cell]
Zn 0.500 0.867 0.609 [1 per cell]
Zn 0.508 0.257 0.800 [1 per cell]
In 0.002 0.796 0.406 [1 per cell]
In 0.501 0.665 0.007 [1 per cell]
Ag 0.001 0.588 0.807 [1 per cell]
Ag 0.503 0.061 0.206 [1 per cell]
S 0.363 0.010 0.992 [1 per cell]
S 0.365 0.407 0.217 [1 per cell]
S 0.370 0.192 0.606 [1 per cell]
S 0.386 0.778 0.421 [1 per cell]
S 0.396 0.588 0.800 [1 per cell]
S 0.864 0.881 0.602 [1 per cell]
S 0.868 0.240 0.805 [1 per cell]
S 0.868 0.448 0.411 [1 per cell]
S 0.885 0.664 0.022 [1 per cell]
S 0.896 0.076 0.197 [1 per cell]


No. 5
Computed powder X-ray diffraction pattern of LiLaTi4O12 for Cu Kα X-rays, from a crystal structure in the Materials Project, relaxed with PBE.

Largest 8 diffraction maxima, sorted by position, 2θ = 10–80°:
- (1 0 0), 11.19°, rel. 45
- (0 1 1), 16.46°, rel. 61
- (1 1 1), 19.95°, rel. 100
- (1 0 2), 26.07°, rel. 31
- (2 1 1), 28.00°, rel. 32
- (2 2 0), 32.56°, rel. 48
- (2 0 2), 32.73°, rel. 37
- (0 2 2), 33.27°, rel. 45

Atomic structure:
Cell: 7.907 7.654 7.580 Å, 90.00 90.00 90.00°
Space group Amm2 (No. 38)
Inequivalent atoms, fractional coordinates:
Li 0.000 0.000 0.000 [2 per cell]
La 0.500 0.000 0.544 [2 per cell]
Ti 0.227 0.240 0.271 [8 per cell]
O 0.000 0.197 0.795 [4 per cell]
O 0.198 0.000 0.220 [4 per cell]
O 0.261 0.209 0.519 [8 per cell]
O 0.291 0.000 0.790 [4 per cell]
O 0.500 0.215 0.271 [4 per cell]


No. 6
Computed powder X-ray diffraction pattern of Mn2FeCoP2 for Cu Kα X-rays, from a crystal structure in the Materials Project, relaxed with PBE.

Largest 8 diffraction maxima, sorted by position, 2θ = 10–80°:
- (1 2 1), 40.43°, rel. 100
- (1 1 2), 42.67°, rel. 54
- (0 3 1), 43.62°, rel. 20
- (1 3 0), 48.51°, rel. 23
- (0 1 3), 49.04°, rel. 28
- (1 3 1), 51.16°, rel. 13
- (2 0 0), 52.21°, rel. 29
- (2 1 3), 74.43°, rel. 11

Atomic structure:
Cell: 3.504 6.666 5.803 Å, 90.00 90.00 90.00°
Space group Pmc2_1 (No. 26)
Inequivalent atoms, fractional coordinates:
Mn 0.000 0.079 0.000 [2 per cell]
Mn 0.500 0.420 0.943 [2 per cell]
Fe 0.500 0.188 0.327 [2 per cell]
Co 0.000 0.316 0.620 [2 per cell]
P 0.000 0.373 0.239 [2 per cell]
P 0.500 0.123 0.704 [2 per cell]


No. 7
Computed powder X-ray diffraction pattern of U5Sb4 for Cu Kα X-rays, from a crystal structure in the Materials Project, relaxed with PBE.

Largest 8 diffraction maxima, sorted by position, 2θ = 10–80°:
- (1 1 1), 23.99°, rel. 15
- (2 1 1), 32.81°, rel. 36
- (3 0 0), 33.34°, rel. 98
- (1 1 2), 35.00°, rel. 100
- (2 2 2), 49.11°, rel. 32
- (4 1 2), 60.66°, rel. 26
- (5 1 1), 66.32°, rel. 12
- (3 0 4), 70.63°, rel. 24

Atomic structure:
Cell: 9.3095 9.3095 6.1437 Å, 90.00 90.00 120.00°
Space group P6_3/mcm (No. 193)
Inequivalent atoms, fractional coordinates:
U 0.0000 0.2884 0.2500 [6 per cell]
U 0.3333 0.6667 0.0000 [4 per cell]
Sb 0.0000 0.0000 0.0000 [2 per cell]
Sb 0.0000 0.3774 0.7500 [6 per cell]


No. 8
Computed powder X-ray diffraction pattern of Ti3V3Ge5 for Cu Kα X-rays, from a crystal structure in the Materials Project, relaxed with PBE.

Largest 8 diffraction maxima, sorted by position, 2θ = 10–80°:
- (1 2 3), 32.46°, rel. 22
- (1 0 5), 33.40°, rel. 17
- (1 3 0), 36.74°, rel. 26
- (0 2 6), 40.90°, rel. 97
- (2 0 4), 41.55°, rel. 66
- (2 2 2), 42.45°, rel. 100
- (0 4 0), 43.63°, rel. 66
- (2 4 4), 61.80°, rel. 19

Atomic structure:
Cell: 5.231 8.303 15.627 Å, 90.00 90.00 90.00°
Space group Immm (No. 71)
Inequivalent atoms, fractional coordinates:
Ti 0.000 0.000 0.152 [4 per cell]
Ti 0.250 0.250 0.250 [8 per cell]
V 0.000 0.272 0.418 [8 per cell]
V 0.239 0.000 0.500 [4 per cell]
Ge 0.000 0.000 0.338 [4 per cell]
Ge 0.000 0.311 0.103 [8 per cell]
Ge 0.000 0.500 0.301 [4 per cell]
Ge 0.244 0.000 0.000 [4 per cell]


No. 9
Computed powder X-ray diffraction pattern of K2AlInI6 for Cu Kα X-rays, from a crystal structure in the Materials Project, relaxed with PBE.

Largest 8 diffraction maxima, sorted by position, 2θ = 10–80°:
- (2 0 0), 14.66°, rel. 60
- (2 2 2), 25.53°, rel. 97
- (4 0 0), 29.57°, rel. 100
- (4 2 0), 33.15°, rel. 28
- (4 4 0), 42.31°, rel. 69
- (6 2 2), 50.07°, rel. 37
- (4 4 4), 52.46°, rel. 23
- (8 4 0), 69.58°, rel. 26

Atomic structure:
Cell: 12.085 12.085 12.085 Å, 90.00 90.00 90.00°
Space group Fm-3m (No. 225)
Inequivalent atoms, fractional coordinates:
K 0.250 0.250 0.250 [8 per cell]
Al 0.000 0.000 0.000 [4 per cell]
In 0.000 0.000 0.500 [4 per cell]
I 0.000 0.000 0.231 [24 per cell]